Record 1
ErAsS: calculated X-ray diffraction stick pattern (Cu Kα (λ = 1.5418 Å)), based on a structure optimized by DFT (PBE).
Kinematic intensities with the Lorentz-polarization factor, no thermal factor.

Main lines, by angle (2θ = 10–90°):
- 2θ 25.61, rel. 97
- 2θ 31.66, rel. 37
- 2θ 33.22, rel. 20
- 2θ 34.91, rel. 49
- 2θ 39.62, rel. 100
- 2θ 39.72, rel. 15
- 2θ 47.60, rel. 19
- 2θ 47.78, rel. 19
- 2θ 49.19, rel. 19
- 2θ 64.97, rel. 18

Crystal structure
```
data_ErAsS
_chemical_formula_sum 'Er2 As2 S2'
_space_group_name_H-M_alt 'P m m n'
_space_group_IT_number 59
_cell_length_a 3.807
_cell_length_b 3.821
_cell_length_c 8.477
_cell_angle_alpha 90.00
_cell_angle_beta 90.00
_cell_angle_gamma 90.00
loop_
_space_group_symop_operation_xyz
'x,y,z'
'-x,-y,-z'
'-x+1/2,-y+1/2,z'
'x+1/2,y+1/2,-z'
'x+1/2,-y,-z'
'-x+1/2,y,z'
'-x,y+1/2,-z'
'x,-y+1/2,z'
loop_
_atom_site_label
_atom_site_type_symbol
_atom_site_fract_x
_atom_site_fract_y
_atom_site_fract_z
_atom_site_occupancy
Er1 Er 0.250 0.250 0.209 1
As1 As 0.250 0.750 0.497 1
S1 S 0.250 0.250 0.875 1
```

***

Record 2
Ho2IrPd: calculated X-ray diffraction stick pattern (Cu Kα (λ = 1.5418 Å)), based on a structure optimized by DFT (PBE).
Kinematic intensities with the Lorentz-polarization factor, no thermal factor.

Main lines, by angle (2θ = 10–90°):
- 2θ 22.29, rel. 4
- 2θ 36.81, rel. 100
- 2θ 43.46, rel. 2
- 2θ 53.03, rel. 18
- 2θ 58.23, rel. 1
- 2θ 66.30, rel. 36
- 2θ 70.90, rel. 1
- 2θ 78.31, rel. 11
- 2θ 82.65, rel. 1
- 2θ 89.81, rel. 17

Crystal structure
```
data_Ho2IrPd
_chemical_formula_sum 'Ho8 Ir4 Pd4'
_space_group_name_H-M_alt 'F m -3 m'
_space_group_IT_number 225
_space_group_name_Hall '-F 4 2 3'
_cell_length_a 6.907
_cell_length_b 6.907
_cell_length_c 6.907
_cell_angle_alpha 90.00
_cell_angle_beta 90.00
_cell_angle_gamma 90.00
loop_
_atom_site_label
_atom_site_type_symbol
_atom_site_fract_x
_atom_site_fract_y
_atom_site_fract_z
_atom_site_occupancy
Ho1 Ho 0.250 0.250 0.250 1
Ir1 Ir 0.000 0.000 0.000 1
Pd1 Pd 0.000 0.000 0.500 1
```

***

Record 3
CuS: calculated X-ray diffraction stick pattern (Cu Kα (λ = 1.5418 Å)), based on a structure optimized by DFT (PBE).
Kinematic intensities with the Lorentz-polarization factor, no thermal factor.

Main lines, by angle (2θ = 10–90°):
- 2θ 29.77, rel. 100
- 2θ 34.51, rel. 11
- 2θ 49.61, rel. 59
- 2θ 58.94, rel. 38
- 2θ 61.84, rel. 3
- 2θ 72.79, rel. 9
- 2θ 80.57, rel. 15
- 2θ 83.11, rel. 3

Crystal structure
```
data_CuS
_chemical_formula_sum 'Cu4 S4'
_space_group_name_H-M_alt 'F -4 3 m'
_space_group_IT_number 216
_space_group_name_Hall 'F -4 2 3'
_cell_length_a 5.197
_cell_length_b 5.197
_cell_length_c 5.197
_cell_angle_alpha 90.00
_cell_angle_beta 90.00
_cell_angle_gamma 90.00
loop_
_atom_site_label
_atom_site_type_symbol
_atom_site_fract_x
_atom_site_fract_y
_atom_site_fract_z
_atom_site_occupancy
Cu1 Cu 0.000 0.000 0.000 1
S1 S 0.250 0.250 0.250 1
```